Entry 1:
Theoretical powder X-ray diffraction pattern of MgMnO2 for copper Kα, from DFT lattice parameters and positions (PBE+U).
Kinematic intensities with the Lorentz-polarization factor, no thermal factor.

Principal peaks in the range 10° ≤ 2θ ≤ 80°, in order of falling intensity:
two_theta	I/Imax
48.5	1000
34.0	810
48.3	489
33.8	341
23.6	333
60.6	307
33.5	190
38.1	172
61.0	150
71.1	131

Crystal structure
```
data_MgMnO2
_cell_length_a 5.300
_cell_length_b 5.353
_cell_length_c 3.038
_cell_angle_alpha 90.00
_cell_angle_beta 90.00
_cell_angle_gamma 90.00
_symmetry_space_group_name_H-M 'P n n m'
_symmetry_Int_Tables_number 58
loop_
_symmetry_equiv_pos_as_xyz
'x,y,z'
'-x,-y,-z'
'-x,-y,z'
'x,y,-z'
'x+1/2,-y+1/2,-z+1/2'
'-x+1/2,y+1/2,z+1/2'
'-x+1/2,y+1/2,-z+1/2'
'x+1/2,-y+1/2,z+1/2'
loop_
_atom_site_label
_atom_site_type_symbol
_atom_site_fract_x
_atom_site_fract_y
_atom_site_fract_z
Mg1 Mg 0.000 0.000 0.000
Mn1 Mn 0.000 0.500 0.000
O1 O 0.164 0.235 0.500
```

---

Entry 2:
Theoretical powder X-ray diffraction pattern of K2MoP2O9 for copper Kα, from DFT lattice parameters and positions (PBE+U).
Kinematic intensities with the Lorentz-polarization factor, no thermal factor.

Principal peaks in the range 10° ≤ 2θ ≤ 80°, in order of falling intensity:
two_theta	I/Imax
12.5	1000
22.3	751
21.8	565
25.6	484
27.1	407
14.2	342
36.2	303
30.0	301
22.9	290
32.5	247

Crystal structure
```
data_K2MoP2O9
_cell_length_a 14.143
_cell_length_b 8.246
_cell_length_c 15.771
_cell_angle_alpha 90.00
_cell_angle_beta 100.05
_cell_angle_gamma 90.00
_symmetry_space_group_name_H-M 'C 1 2/c 1'
_symmetry_Int_Tables_number 15
loop_
_symmetry_equiv_pos_as_xyz
'x,y,z'
'-x,-y,-z'
'-x,y,-z+1/2'
'x,-y,z+1/2'
'x+1/2,y+1/2,z'
'-x+1/2,-y+1/2,-z'
'-x+1/2,y+1/2,-z+1/2'
'x+1/2,-y+1/2,z+1/2'
loop_
_atom_site_label
_atom_site_type_symbol
_atom_site_fract_x
_atom_site_fract_y
_atom_site_fract_z
K1 K 0.143 0.164 0.234
K2 K 0.150 0.071 0.969
Mo1 Mo 0.111 0.356 0.638
P1 P 0.040 0.309 0.423
P2 P 0.129 0.415 0.848
O1 O 0.033 0.160 0.367
O2 O 0.040 0.316 0.858
O3 O 0.050 0.414 0.087
O4 O 0.072 0.258 0.519
O5 O 0.120 0.478 0.753
O6 O 0.129 0.419 0.403
O7 O 0.140 0.170 0.687
O8 O 0.222 0.426 0.619
O9 O 0.223 0.332 0.881
```